No. 1
The following is a calculated X-ray powder pattern of SiBRhAuCS. It was derived from a crystal structure in Alexandria, relaxed with GGA-PBE, using a wavelength of 1.5418 Å.

Top 6 peaks for 5° ≤ 2θ ≤ 70°, in order of rising 2θ:
| Position (°2θ) | I_rel |
| --- | --- |
| 16.56 | 100 |
| 32.60 | 32 |
| 34.39 | 29 |
| 39.39 | 48 |
| 43.06 | 39 |
| 43.58 | 28 |

Atomic structure:
```
SiBRhAuCS
1.0
5.5950 -1.4110 0.0000
5.5950 1.4110 0.0000
-3.8849 0.0000 5.6148
Si B Rh Au C S
1 1 1 1 1 1
Direct
0.0000 0.0000 0.0000
0.7348 0.7348 0.5109
0.3985 0.3985 0.6636
0.7289 0.7289 0.1704
0.9557 0.9557 0.2338
0.5442 0.5442 0.4365
```



No. 2
The following is a calculated X-ray powder pattern of SiBAuC. It was derived from a crystal structure in Alexandria, relaxed with GGA-PBE, using a wavelength of 1.5418 Å.

Top 6 peaks for 5° ≤ 2θ ≤ 70°, in order of rising 2θ:
| Position (°2θ) | I_rel |
| --- | --- |
| 15.21 | 100 |
| 29.48 | 36 |
| 30.69 | 30 |
| 33.33 | 47 |
| 35.66 | 53 |
| 46.92 | 43 |

Atomic structure:
```
SiBAuC
1.0
2.7916 0.0000 0.0000
0.0000 3.0301 0.0000
0.0000 0.0000 5.8266
Si B Au C
1 1 1 1
Direct
0.0000 0.0000 0.0000
0.5000 0.5000 0.6774
0.5000 0.0000 0.3683
0.0000 0.5000 0.8075
```